(1)
Structure and simulated powder diffractogram of CeThTeN2 (a crystal structure in Alexandria, relaxed with GGA-PBE; Cu Kα, 1.54184 Å).
Peak positions follow from Bragg's law for the DFT cell and can differ from measured ones.

Principal peaks in the range 5° ≤ 2θ ≤ 70°, by angle:
2θ (°)	I/Imax
13.6	7
22.9	7
30.2	100
31.1	41
41.7	9
42.0	3
44.6	19
53.0	23
54.8	38
62.7	11
65.0	6
69.1	9

Structure:
a = 4.061 Å, b = 4.061 Å, c = 12.985 Å
α = 90.00°, β = 90.00°, γ = 90.00°
Sites, in units of the cell vectors:
Ce 0.000 0.000 0.000
Ce 0.500 0.500 0.500
Th 0.000 0.000 0.327
Th 0.500 0.500 0.827
Te 0.000 0.000 0.664
Te 0.500 0.500 0.164
N 0.000 0.500 0.417
N 0.000 0.500 0.917
N 0.500 0.000 0.417
N 0.500 0.000 0.917

=====

(2)
Structure and simulated powder diffractogram of CeTiTe2N (a crystal structure in Alexandria, relaxed with GGA-PBE; Cu Kα, 1.54184 Å).
Peak positions follow from Bragg's law for the DFT cell and can differ from measured ones.

Principal peaks in the range 5° ≤ 2θ ≤ 70°, by angle:
2θ (°)	I/Imax
29.3	100
31.9	79
33.8	35
37.9	11
40.9	7
45.7	32
50.3	26
55.2	34
55.8	11
58.0	14
60.8	11
66.6	10

Structure:
a = 3.972 Å, b = 3.972 Å, c = 14.252 Å
α = 90.00°, β = 90.00°, γ = 90.00°
Sites, in units of the cell vectors:
Ce 0.250 0.250 0.079
Ce 0.750 0.750 0.921
Ti 0.250 0.250 0.584
Ti 0.750 0.750 0.416
Te 0.250 0.250 0.389
Te 0.250 0.250 0.781
Te 0.750 0.750 0.219
Te 0.750 0.750 0.611
N 0.250 0.750 0.000
N 0.750 0.250 0.000

=====

(3)
Structure and simulated powder diffractogram of CeTh3N6 (a crystal structure in Alexandria, relaxed with GGA-PBE; Cu Kα, 1.54184 Å).
Peak positions follow from Bragg's law for the DFT cell and can differ from measured ones.

Principal peaks in the range 5° ≤ 2θ ≤ 70°, by angle:
2θ (°)	I/Imax
20.3	9
28.7	99
28.8	100
41.2	42
46.2	11
50.9	19
51.1	71
59.5	11
59.8	14
63.4	5
67.5	15
67.6	18

Structure:
a = 6.212 Å, b = 6.212 Å, c = 6.212 Å
α = 59.77°, β = 59.77°, γ = 59.77°
Sites, in units of the cell vectors:
Ce 0.000 0.000 0.000
Th 0.272 0.272 0.272
Th 0.502 0.502 0.502
Th 0.772 0.772 0.772
N 0.108 0.379 0.675
N 0.169 0.885 0.611
N 0.379 0.675 0.108
N 0.611 0.169 0.885
N 0.675 0.108 0.379
N 0.885 0.611 0.169

=====

(4)
Structure and simulated powder diffractogram of CeTh4N4 (a crystal structure in Alexandria, relaxed with GGA-PBE; Cu Kα, 1.54184 Å).
Peak positions follow from Bragg's law for the DFT cell and can differ from measured ones.

Principal peaks in the range 5° ≤ 2θ ≤ 70°, by angle:
2θ (°)	I/Imax
15.4	3
21.9	1
30.1	100
34.9	42
35.0	21
38.3	1
50.2	38
50.3	7
59.5	16
59.7	23
59.8	7
62.6	16

Structure:
a = 6.293 Å, b = 6.293 Å, c = 8.112 Å
α = 130.11°, β = 130.11°, γ = 48.34°
Sites, in units of the cell vectors:
Ce 0.000 0.000 0.000
Th 0.195 0.195 0.800
Th 0.395 0.395 0.591
Th 0.605 0.605 0.409
Th 0.805 0.805 0.200
N 0.098 0.098 0.401
N 0.303 0.303 0.206
N 0.697 0.697 0.794
N 0.902 0.902 0.599

=====

(5)
Structure and simulated powder diffractogram of CeTh4N7 (a crystal structure in Alexandria, relaxed with GGA-PBE; Cu Kα, 1.54184 Å).
Peak positions follow from Bragg's law for the DFT cell and can differ from measured ones.

Principal peaks in the range 5° ≤ 2θ ≤ 70°, by angle:
2θ (°)	I/Imax
27.1	35
27.9	100
28.2	97
28.8	55
30.1	70
31.0	47
33.9	57
34.7	28
35.9	40
38.0	32
51.3	42
60.6	32

Structure:
a = 6.191 Å, b = 6.191 Å, c = 9.902 Å
α = 107.32°, β = 107.32°, γ = 33.45°
Sites, in units of the cell vectors:
Ce 0.000 0.000 0.000
Th 0.104 0.104 0.416
Th 0.222 0.222 0.840
Th 0.416 0.416 0.607
Th 0.790 0.790 0.218
N 0.053 0.053 0.633
N 0.155 0.155 0.203
N 0.375 0.375 0.060
N 0.451 0.451 0.374
N 0.620 0.620 0.937
N 0.757 0.757 0.460
N 0.847 0.847 0.789

=====

(6)
Structure and simulated powder diffractogram of CeYTh2N4 (a crystal structure in Alexandria, relaxed with GGA-PBE; Cu Kα, 1.54184 Å).
Peak positions follow from Bragg's law for the DFT cell and can differ from measured ones.

Principal peaks in the range 5° ≤ 2θ ≤ 70°, by angle:
2θ (°)	I/Imax
15.1	15
29.1	11
30.4	100
35.3	71
38.6	5
46.4	3
50.7	50
53.2	4
60.3	42
60.4	4
63.3	13
63.4	4

Structure:
a = 6.227 Å, b = 3.599 Å, c = 6.241 Å
α = 90.00°, β = 109.46°, γ = 90.00°
Sites, in units of the cell vectors:
Ce 0.000 0.000 0.000
Y 0.000 0.500 0.500
Th 0.500 0.000 0.500
Th 0.500 0.500 0.000
N 0.246 0.500 0.252
N 0.247 0.000 0.748
N 0.753 0.000 0.252
N 0.754 0.500 0.748

=====

(7)
Structure and simulated powder diffractogram of Ce6TmN8 (a crystal structure in Alexandria, relaxed with GGA-PBE; Cu Kα, 1.54184 Å).
Peak positions follow from Bragg's law for the DFT cell and can differ from measured ones.

Principal peaks in the range 5° ≤ 2θ ≤ 70°, by angle:
2θ (°)	I/Imax
15.4	21
17.8	5
25.3	4
29.7	11
31.1	100
36.0	78
39.4	5
47.4	5
51.9	53
54.4	5
61.7	45
64.8	18

Structure:
a = 7.051 Å, b = 7.051 Å, c = 7.051 Å
α = 60.00°, β = 60.00°, γ = 60.00°
Sites, in units of the cell vectors:
Ce 0.000 0.000 0.500
Ce 0.000 0.500 0.000
Ce 0.000 0.500 0.500
Ce 0.500 0.000 0.000
Ce 0.500 0.000 0.500
Ce 0.500 0.500 0.000
Tm 0.000 0.000 0.000
N 0.233 0.233 0.767
N 0.233 0.767 0.233
N 0.233 0.767 0.767
N 0.250 0.250 0.250
N 0.750 0.750 0.750
N 0.767 0.233 0.233
N 0.767 0.233 0.767
N 0.767 0.767 0.233

=====

(8)
Structure and simulated powder diffractogram of CeTmVN3 (a crystal structure in Alexandria, relaxed with GGA-PBE; Cu Kα, 1.54184 Å).
Peak positions follow from Bragg's law for the DFT cell and can differ from measured ones.

Principal peaks in the range 5° ≤ 2θ ≤ 70°, by angle:
2θ (°)	I/Imax
11.9	76
15.8	28
24.0	24
28.9	76
29.4	47
31.9	62
35.8	71
36.3	47
36.5	100
37.2	47
49.3	26
55.4	24

Structure:
a = 7.231 Å, b = 3.399 Å, c = 7.516 Å
α = 90.00°, β = 99.01°, γ = 90.00°
Sites, in units of the cell vectors:
Ce 0.175 0.250 0.176
Ce 0.825 0.750 0.824
Tm 0.363 0.750 0.837
Tm 0.637 0.250 0.163
V 0.091 0.250 0.600
V 0.909 0.750 0.400
N 0.123 0.250 0.852
N 0.173 0.750 0.517
N 0.401 0.750 0.145
N 0.599 0.250 0.855
N 0.827 0.250 0.483
N 0.877 0.750 0.148

=====

(9)
Structure and simulated powder diffractogram of CeTmZnN3 (a crystal structure in Alexandria, relaxed with GGA-PBE; Cu Kα, 1.54184 Å).
Peak positions follow from Bragg's law for the DFT cell and can differ from measured ones.

Principal peaks in the range 5° ≤ 2θ ≤ 70°, by angle:
2θ (°)	I/Imax
12.5	27
16.1	32
25.2	29
29.2	67
29.7	38
32.6	73
36.5	100
36.7	58
37.3	36
38.1	32
50.6	26
60.6	25

Structure:
a = 7.172 Å, b = 3.384 Å, c = 7.267 Å
α = 90.00°, β = 99.16°, γ = 90.00°
Sites, in units of the cell vectors:
Ce 0.200 0.250 0.184
Ce 0.800 0.750 0.816
Tm 0.168 0.250 0.644
Tm 0.832 0.750 0.356
Zn 0.403 0.750 0.895
Zn 0.597 0.250 0.105
N 0.123 0.750 0.866
N 0.151 0.750 0.408
N 0.474 0.750 0.191
N 0.526 0.250 0.809
N 0.849 0.250 0.592
N 0.877 0.250 0.134

=====

(10)
Structure and simulated powder diffractogram of Ce2UWN5 (a crystal structure in Alexandria, relaxed with GGA-PBE; Cu Kα, 1.54184 Å).
Peak positions follow from Bragg's law for the DFT cell and can differ from measured ones.

Principal peaks in the range 5° ≤ 2θ ≤ 70°, by angle:
2θ (°)	I/Imax
27.0	16
30.3	49
31.1	100
34.0	25
38.6	25
41.1	14
41.7	16
43.4	24
49.9	23
54.4	22
58.1	17
63.1	18

Structure:
a = 6.594 Å, b = 6.594 Å, c = 5.891 Å
α = 90.00°, β = 90.00°, γ = 90.00°
Sites, in units of the cell vectors:
Ce 0.168 0.332 0.000
Ce 0.332 0.832 0.000
Ce 0.668 0.168 0.000
Ce 0.832 0.668 0.000
U 0.000 0.000 0.500
U 0.500 0.500 0.500
W 0.000 0.500 0.500
W 0.500 0.000 0.500
N 0.000 0.000 0.000
N 0.151 0.651 0.267
N 0.151 0.651 0.733
N 0.349 0.151 0.267
N 0.349 0.151 0.733
N 0.500 0.500 0.000
N 0.651 0.849 0.267
N 0.651 0.849 0.733
N 0.849 0.349 0.267
N 0.849 0.349 0.733

=====

(11)
Structure and simulated powder diffractogram of Ce2UZnN5 (a crystal structure in Alexandria, relaxed with GGA-PBE; Cu Kα, 1.54184 Å).
Peak positions follow from Bragg's law for the DFT cell and can differ from measured ones.

Principal peaks in the range 5° ≤ 2θ ≤ 70°, by angle:
2θ (°)	I/Imax
21.4	27
26.4	24
27.4	29
27.8	27
28.8	74
31.2	54
32.3	62
33.5	39
37.2	100
40.4	36
45.6	47
55.2	28

Structure:
a = 7.073 Å, b = 7.073 Å, c = 10.410 Å
α = 90.00°, β = 90.00°, γ = 151.54°
Sites, in units of the cell vectors:
Ce 0.107 0.893 0.500
Ce 0.126 0.874 0.115
Ce 0.874 0.126 0.615
Ce 0.893 0.107 0.000
U 0.205 0.795 0.821
U 0.795 0.205 0.321
Zn 0.485 0.515 0.286
Zn 0.515 0.485 0.786
N 0.054 0.946 0.869
N 0.282 0.718 0.457
N 0.296 0.704 0.188
N 0.359 0.641 0.824
N 0.494 0.506 0.592
N 0.506 0.494 0.092
N 0.641 0.359 0.324
N 0.704 0.296 0.688
N 0.718 0.282 0.957
N 0.946 0.054 0.369

=====

(12)
Structure and simulated powder diffractogram of CeW2N6 (a crystal structure in Alexandria, relaxed with GGA-PBE; Cu Kα, 1.54184 Å).
Peak positions follow from Bragg's law for the DFT cell and can differ from measured ones.

Principal peaks in the range 5° ≤ 2θ ≤ 70°, by angle:
2θ (°)	I/Imax
17.1	45
18.6	36
24.4	49
26.3	42
27.0	72
29.9	59
31.6	63
33.2	100
36.0	55
46.0	30
47.8	29
53.3	26

Structure:
a = 5.894 Å, b = 5.894 Å, c = 6.639 Å
α = 118.81°, β = 118.81°, γ = 39.10°
Sites, in units of the cell vectors:
Ce 0.000 0.000 0.000
W 0.217 0.217 0.658
W 0.783 0.783 0.342
N 0.035 0.035 0.623
N 0.256 0.256 0.385
N 0.367 0.367 0.955
N 0.633 0.633 0.045
N 0.744 0.744 0.615
N 0.965 0.965 0.377